Starting from a PBE-relaxed structure, the XRD peak list of Pb3I2Cl4O6 was computed for a wavelength of 1.5418 Å.

Lattice parameters (Å, degrees): 8.7196 8.7196 12.1958 115.16 115.16 51.24
Atoms (fractional coordinates):
Pb1 0.0557 0.3430 0.6753
Pb2 0.1680 0.8320 0.7500
Pb3 0.3430 0.0557 0.1753
Pb4 0.6570 0.9443 0.8247
Pb5 0.8320 0.1680 0.2500
Pb6 0.9443 0.6570 0.3247
I1 0.2328 0.6647 0.0271
I2 0.3353 0.7672 0.4729
I3 0.6647 0.2328 0.5271
I4 0.7672 0.3353 0.9729
Cl1 0.1500 0.2578 0.3899
Cl2 0.2578 0.1500 0.8899
Cl3 0.3258 0.4245 0.2292
Cl4 0.4245 0.3258 0.7292
Cl5 0.5755 0.6742 0.2708
Cl6 0.6742 0.5755 0.7708
Cl7 0.7422 0.8500 0.1101
Cl8 0.8500 0.7422 0.6101
O1 0.0380 0.6666 0.8843
O2 0.0814 0.9080 0.3785
O3 0.0920 0.9186 0.1215
O4 0.2770 0.6396 0.5235
O5 0.3334 0.9620 0.6157
O6 0.3604 0.7230 0.9765
O7 0.6396 0.2770 0.0235
O8 0.6666 0.0380 0.3843
O9 0.7230 0.3604 0.4765
O10 0.9080 0.0814 0.8785
O11 0.9186 0.0920 0.6215
O12 0.9620 0.3334 0.1157

Top 6 peaks for 5 to 70 degrees two-theta, in order of rising 2θ:
2θ (°)	I/Imax
23.6	52
25.4	97
26.3	87
27.0	100
32.4	50
41.4	52


Starting from a PBE-relaxed structure, the XRD peak list of ScTlO2 was computed for a wavelength of 1.5418 Å.

Lattice parameters (Å, degrees): 3.2647 3.2647 12.9681 90.00 90.00 120.00
Atoms (fractional coordinates):
Sc1 0.0000 0.0000 0.0000
Sc2 0.0000 0.0000 0.5000
Tl1 0.3333 0.6667 0.2500
Tl2 0.6667 0.3333 0.7500
O1 0.3333 0.6667 0.5818
O2 0.3333 0.6667 0.9182
O3 0.6667 0.3333 0.0818
O4 0.6667 0.3333 0.4182

Top 6 peaks for 5 to 70 degrees two-theta, in order of rising 2θ:
2θ (°)	I/Imax
13.7	83
27.5	50
32.4	95
34.6	59
38.0	100
47.6	33


Starting from a PBE-relaxed structure, the XRD peak list of Ce3PBr3 was computed for a wavelength of 1.5418 Å.

Lattice parameters (Å, degrees): 10.2320 10.2320 10.2320 109.47 109.47 109.47
Atoms (fractional coordinates):
Ce1 0.0116 0.0232 0.2616
Ce2 0.0116 0.4884 0.7500
Ce3 0.0232 0.2616 0.0116
Ce4 0.2384 0.2616 0.7500
Ce5 0.2384 0.4768 0.4884
Ce6 0.2616 0.0116 0.0232
Ce7 0.2616 0.7500 0.2384
Ce8 0.4768 0.4884 0.2384
Ce9 0.4884 0.2384 0.4768
Ce10 0.4884 0.7500 0.0116
Ce11 0.7500 0.0116 0.4884
Ce12 0.7500 0.2384 0.2616
P1 0.0000 0.2500 0.5000
P2 0.2500 0.2500 0.2500
P3 0.2500 0.5000 0.0000
P4 0.5000 0.0000 0.2500
Br1 0.2500 0.7577 0.7423
Br2 0.2500 0.9923 0.5077
Br3 0.5077 0.2500 0.9923
Br4 0.5077 0.7577 0.5154
Br5 0.5154 0.5077 0.7577
Br6 0.7423 0.2500 0.7577
Br7 0.7423 0.9923 0.9846
Br8 0.7577 0.5154 0.5077
Br9 0.7577 0.7423 0.2500
Br10 0.9846 0.7423 0.9923
Br11 0.9923 0.5077 0.2500
Br12 0.9923 0.9846 0.7423

Top 6 peaks for 5 to 70 degrees two-theta, in order of rising 2θ:
2θ (°)	I/Imax
10.6	16
28.3	31
30.3	100
35.6	16
43.3	71
53.8	24


Starting from a PBE-relaxed structure, the XRD peak list of Dy4B4O11F2 was computed for a wavelength of 1.5418 Å.

Lattice parameters (Å, degrees): 7.1473 7.1473 13.6704 91.25 91.25 37.78
Atoms (fractional coordinates):
Dy1 0.0413 0.0765 0.3702
Dy2 0.0765 0.0413 0.8702
Dy3 0.2046 0.2343 0.1304
Dy4 0.2343 0.2046 0.6304
Dy5 0.7657 0.7954 0.3696
Dy6 0.7954 0.7657 0.8696
Dy7 0.9235 0.9587 0.1298
Dy8 0.9587 0.9235 0.6298
B1 0.3614 0.4464 0.4772
B2 0.3807 0.4319 0.7863
B3 0.4319 0.3807 0.2863
B4 0.4464 0.3614 0.9772
B5 0.5536 0.6386 0.0228
B6 0.5681 0.6193 0.7137
B7 0.6193 0.5681 0.2137
B8 0.6386 0.5536 0.5228
O1 0.0874 0.7550 0.4665
O2 0.1209 0.6824 0.2764
O3 0.1374 0.5103 0.7429
O4 0.2450 0.9126 0.0335
O5 0.2742 0.5500 0.8951
O6 0.3176 0.8791 0.2236
O7 0.3205 0.4481 0.0681
O8 0.3399 0.6601 0.7500
O9 0.4481 0.3205 0.5681
O10 0.4500 0.7258 0.6049
O11 0.4897 0.8626 0.7571
O12 0.5103 0.1374 0.2429
O13 0.5500 0.2742 0.3951
O14 0.5519 0.6795 0.4319
O15 0.6601 0.3399 0.2500
O16 0.6795 0.5519 0.9319
O17 0.6824 0.1209 0.7764
O18 0.7258 0.4500 0.1049
O19 0.7550 0.0874 0.9665
O20 0.8626 0.4897 0.2571
O21 0.8791 0.3176 0.7236
O22 0.9126 0.2450 0.5335
F1 0.2038 0.2582 0.4242
F2 0.2582 0.2038 0.9242
F3 0.7418 0.7962 0.0758
F4 0.7962 0.7418 0.5758

Top 6 peaks for 5 to 70 degrees two-theta, in order of rising 2θ:
2θ (°)	I/Imax
20.3	83
26.1	82
29.2	49
30.4	98
30.8	100
47.5	48